Entry 1:
Calculated powder XRD pattern of Li2Sc2Pd5 for CuKα, from a structure optimized by DFT (PBE).
Lines closer than 0.1° are merged.

Peak list (10 most intense, 2θ = 15–90°, by intensity)
2.462 Å, I = 100; 2.188 Å, I = 98; 2.281 Å, I = 87; 3.317 Å, I = 24; 1.253 Å, I = 23; 1.341 Å, I = 22; 2.001 Å, I = 22; 3.759 Å, I = 21; 2.341 Å, I = 19; 2.686 Å, I = 18

Crystal structure
```
Li2Sc2Pd5
1.0
-2.9107 7.3439 3.3173
2.9107 -7.3439 3.3173
2.9107 7.3439 -3.3173
Li Sc Pd
4 4 10
Cartesian
0.0000 1.0022 0.2972
0.0000 6.3416 0.2972
2.9107 1.0022 3.0201
2.9107 6.3416 3.0201
2.9107 0.0000 0.0000
2.9107 3.6719 -0.3130
0.0000 0.0000 3.3173
0.0000 3.6719 3.6302
1.4553 5.7566 -1.6586
1.4553 -1.5873 1.6586
2.9107 -3.6719 3.0260
1.4553 9.5748 -1.6586
1.4553 2.2309 1.6586
-1.4553 5.1129 1.6586
1.4553 5.1129 1.6586
0.0000 11.0158 0.2913
-1.4553 8.9312 1.6586
1.4553 8.9312 1.6586
```

Entry 2:
Calculated powder XRD pattern of Li3ScPd4 for CuKα, from a structure optimized by DFT (PBE).
Lines closer than 0.1° are merged.

Peak list (10 most intense, 2θ = 15–90°, by intensity)
2.161 Å, I = 100; 3.152 Å, I = 88; 2.229 Å, I = 58; 2.969 Å, I = 35; 1.274 Å, I = 35; 1.783 Å, I = 31; 1.576 Å, I = 19; 1.410 Å, I = 15; 1.392 Å, I = 14; 1.236 Å, I = 13

Crystal structure
```
Li3ScPd4
1.0
3.1523 0.0000 0.0000
0.0000 3.1523 0.0000
0.0000 0.0000 11.8771
Li Sc Pd
3 1 4
Cartesian
0.0000 0.0000 0.0000
0.0000 0.0000 2.7632
0.0000 0.0000 9.1138
0.0000 0.0000 5.9385
1.5762 1.5762 1.4212
1.5762 1.5762 4.3015
1.5762 1.5762 7.5756
1.5762 1.5762 10.4559
```

Entry 3:
Calculated powder XRD pattern of LiSc2Pd3 for CuKα, from a structure optimized by DFT (PBE).
Lines closer than 0.1° are merged.

Peak list (10 most intense, 2θ = 15–90°, by intensity)
2.295 Å, I = 100; 2.274 Å, I = 95; 3.230 Å, I = 78; 1.615 Å, I = 32; 1.321 Å, I = 31; 1.871 Å, I = 17; 1.325 Å, I = 16; 1.309 Å, I = 15; 1.450 Å, I = 15; 1.439 Å, I = 14

Crystal structure
```
LiSc2Pd3
1.0
4.5896 0.0000 0.0000
-2.2948 3.9747 0.0000
0.0000 0.0000 11.0887
Li Sc Pd
2 4 6
Cartesian
0.0000 2.6498 1.8506
2.2948 1.3249 9.2381
0.0000 0.0000 0.0000
0.0000 0.0000 5.5443
0.0000 2.6498 7.5444
2.2948 1.3249 3.5442
0.0000 0.0000 2.7568
0.0000 0.0000 8.3318
0.0000 2.6498 4.6435
0.0000 2.6498 10.2503
2.2948 1.3249 0.8384
2.2948 1.3249 6.4451
```

Entry 4:
Calculated powder XRD pattern of Li3ScPd6 for CuKα, from a structure optimized by DFT (PBE).
Lines closer than 0.1° are merged.

Peak list (10 most intense, 2θ = 15–90°, by intensity)
2.202 Å, I = 100; 2.218 Å, I = 99; 2.999 Å, I = 75; 2.114 Å, I = 48; 2.128 Å, I = 46; 3.269 Å, I = 39; 1.500 Å, I = 29; 1.240 Å, I = 28; 1.775 Å, I = 21; 1.237 Å, I = 15

Crystal structure
```
Li3ScPd6
1.0
7.7652 0.0000 0.0000
0.0000 4.2279 0.0000
-1.8576 0.0000 8.9579
Li Sc Pd
6 2 12
Cartesian
-0.4058 1.0570 3.5624
0.7879 3.1709 1.6262
0.1315 1.0570 8.7413
5.7762 3.1709 0.2165
5.1198 1.0570 7.3316
6.3134 3.1709 5.3954
2.2451 1.0570 5.5396
3.6626 3.1709 3.4183
-1.3527 3.1709 8.0283
-0.3468 1.0570 6.1786
0.9439 3.1709 4.2995
2.0148 1.0570 2.5707
1.2227 3.1709 7.0463
3.1892 3.1709 0.7946
2.7184 1.0570 8.1633
4.6849 1.0570 1.9115
3.8929 3.1709 6.3872
4.9637 1.0570 4.6583
6.2544 3.1709 2.7792
7.2603 1.0570 0.9295
```

Entry 5:
Calculated powder XRD pattern of LiSc5Pd6 for CuKα, from a structure optimized by DFT (PBE).
Lines closer than 0.1° are merged.

Peak list (10 most intense, 2θ = 15–90°, by intensity)
2.317 Å, I = 100; 3.277 Å, I = 30; 1.339 Å, I = 16; 1.337 Å, I = 13; 1.640 Å, I = 11; 1.892 Å, I = 6; 1.467 Å, I = 6; 1.635 Å, I = 5; 1.465 Å, I = 4; 1.160 Å, I = 3

Crystal structure
```
LiSc5Pd6
1.0
4.0058 -6.9600 0.0000
4.0058 6.9600 0.0000
-2.6800 0.0000 3.7878
Li Sc Pd
1 5 6
Cartesian
0.0000 0.0000 0.0000
2.6658 4.7367 1.8939
4.0058 2.3325 0.0000
2.6658 0.0000 1.8939
4.0058 -2.3325 0.0000
2.6658 -4.7367 1.8939
1.3562 2.3639 0.9636
0.0346 0.0000 2.8675
1.3562 -2.3639 0.9636
3.9753 2.3639 2.8242
5.2970 0.0000 0.9203
3.9753 -2.3639 2.8242
```

Entry 6:
Calculated powder XRD pattern of LiSc6Pd5 for CuKα, from a structure optimized by DFT (PBE).
Lines closer than 0.1° are merged.

Peak list (10 most intense, 2θ = 15–90°, by intensity)
2.351 Å, I = 100; 2.338 Å, I = 25; 2.345 Å, I = 24; 1.359 Å, I = 16; 1.352 Å, I = 16; 1.656 Å, I = 16; 1.355 Å, I = 15; 3.311 Å, I = 14; 1.176 Å, I = 10; 1.669 Å, I = 8

Crystal structure
```
LiSc6Pd5
1.0
-2.3383 3.3387 7.0336
2.3383 -3.3387 7.0336
2.3383 3.3387 -7.0336
Li Sc Pd
1 6 5
Cartesian
0.0000 0.0000 0.0000
2.3383 -1.6412 4.6640
2.3383 1.7216 0.0000
0.0000 1.6974 2.3696
2.3383 1.6412 4.6640
0.0000 1.6170 7.0336
0.0000 4.9799 2.3696
2.3383 0.0000 2.2406
0.0000 0.0000 4.6122
0.0000 3.3387 0.0000
0.0000 0.0000 9.4550
0.0000 3.3387 4.7930
```

Entry 7:
Calculated powder XRD pattern of Li3ScPd7 for CuKα, from a structure optimized by DFT (PBE).
Lines closer than 0.1° are merged.

Peak list (10 most intense, 2θ = 15–90°, by intensity)
4.308 Å, I = 100; 2.261 Å, I = 95; 2.317 Å, I = 56; 2.272 Å, I = 54; 1.873 Å, I = 48; 2.154 Å, I = 43; 2.084 Å, I = 37; 5.893 Å, I = 24; 2.515 Å, I = 23; 1.789 Å, I = 22

Crystal structure
```
Li3ScPd7
1.0
4.3293 -4.0391 0.0000
4.3293 4.0391 0.0000
-0.4996 0.0000 5.0305
Li Sc Pd
3 1 7
Cartesian
0.0000 0.0000 0.0000
4.0795 2.5291 2.5152
4.0795 -2.5291 2.5152
4.3293 0.0000 0.0000
2.0355 1.3621 1.1880
1.6138 0.0000 3.6432
2.0355 -1.3621 1.1880
4.0795 0.0000 2.5152
6.1236 1.3621 3.8424
6.5453 0.0000 1.3873
6.1236 -1.3621 3.8424
```

Entry 8:
Calculated powder XRD pattern of LiSc3Pd3 for CuKα, from a structure optimized by DFT (PBE).
Lines closer than 0.1° are merged.

Peak list (10 most intense, 2θ = 15–90°, by intensity)
2.267 Å, I = 100; 2.321 Å, I = 27; 2.247 Å, I = 24; 3.229 Å, I = 22; 2.853 Å, I = 19; 1.329 Å, I = 17; 1.614 Å, I = 16; 4.494 Å, I = 16; 1.301 Å, I = 15; 1.133 Å, I = 10

Crystal structure
```
LiSc3Pd3
1.0
4.4941 -4.6422 0.0000
4.4941 4.6422 0.0000
0.0000 0.0000 6.3658
Li Sc Pd
2 6 6
Cartesian
4.4941 2.4569 0.0000
4.4941 -2.4569 0.0000
4.4941 2.3688 3.1829
2.2785 0.0000 3.1829
2.4100 0.0000 0.0000
6.5782 0.0000 0.0000
6.7097 0.0000 3.1829
4.4941 -2.3688 3.1829
0.0000 0.0000 1.5516
0.0000 0.0000 4.8142
2.2470 2.3211 1.5559
2.2470 2.3211 4.8098
2.2470 -2.3211 1.5559
2.2470 -2.3211 4.8098
```